For Sr8MgAg2, DFT lattice parameters and positions (GGA-PBE) gives the calculated powder XRD pattern in this record (copper Kα).

Principal peaks in the range 10° ≤ 2θ ≤ 90°, sorted by position:
2θ (°), intensity
25.92, 100
27.73, 88
28.00, 80
31.14, 63
32.73, 71
38.69, 54

Cell and atoms:
Cell: 9.072 9.072 6.431 Å, 98.35 98.35 111.98°
Positions (direct):
1 Sr 0.000 0.000 0.000
2 Sr 0.051 0.309 0.606
3 Sr 0.137 0.618 0.193
4 Sr 0.309 0.051 0.606
5 Sr 0.446 0.704 0.779
6 Sr 0.618 0.137 0.193
7 Sr 0.704 0.446 0.779
8 Sr 0.755 0.755 0.385
9 Mg 0.377 0.377 0.190
10 Ag 0.064 0.691 0.693
11 Ag 0.691 0.064 0.693